Structure and computed X-ray diffraction stick pattern of Ac2Zn5Rh5 (a crystal structure in Alexandria, relaxed with GGA-PBE; copper Kα).
Lines closer than 0.1° are merged.

```
data_Ac2Zn5Rh5
_chemical_formula_sum 'Ac2 Zn5 Rh5'
_cell_length_a 3.9937
_cell_length_b 5.7574
_cell_length_c 9.5249
_cell_angle_alpha 90.00
_cell_angle_beta 90.00
_cell_angle_gamma 90.00
_space_group_name_H-M_alt 'P m m m'
_space_group_IT_number 47
_space_group_name_Hall '-P 2 2'
loop_
_atom_site_label
_atom_site_fract_x
_atom_site_fract_y
_atom_site_fract_z
_atom_site_occupancy
Ac1 0.0000 0.0000 0.0000 1
Ac2 0.0000 0.5000 0.5000 1
Zn1 0.0000 0.0000 0.3306 1
Zn2 0.0000 0.5000 0.1677 1
Zn3 0.5000 0.0000 0.5000 1
Rh1 0.5000 0.2531 0.2585 1
Rh2 0.5000 0.5000 0.0000 1
```

Principal peaks in the range 10 to 80 degrees two-theta, in order of rising 2θ:
| 2θ/deg | intensity |
| --- | --- |
| 28.78 | 64 |
| 29.18 | 39 |
| 32.20 | 32 |
| 36.47 | 60 |
| 37.78 | 28 |
| 38.55 | 62 |
| 39.49 | 100 |
| 45.42 | 36 |
| 59.60 | 29 |
| 61.00 | 27 |